For Gd2SCl4, a structure optimized by DFT (GGA-PBE) gives the calculated powder diffractogram in this record (a wavelength of 1.5418 Å).
Lines closer than 0.1° are merged.

Structure:
a b c (Å): 6.742 7.567 9.488
angles (deg): 99.43 110.80 90.03
Space group P-1 (No. 2)
Asymmetric unit:
Gd: 0.106 0.182 0.222 [2 per cell]
Gd: 0.383 0.319 0.778 [2 per cell]
S: 0.145 0.249 0.500 [2 per cell]
Cl: 0.112 0.153 0.899 [2 per cell]
Cl: 0.287 0.503 0.240 [2 per cell]
Cl: 0.287 0.654 0.898 [2 per cell]
Cl: 0.452 0.002 0.240 [2 per cell]

Top 12 peaks for 2θ from 10° to 90°, in order of rising 2θ:
2theta, Rel. int., h k l
10.1, 15.2, 0 0 1
17.9, 100.0, 1 -1 0
20.3, 41.6, 0 0 2
22.0, 18.8, 1 1 -2
24.8, 25.3, 1 1 1
26.4, 13.9, 2 0 -1
33.6, 18.1, 2 0 1
38.1, 24.3, 1 3 -1
38.4, 20.2, 1 1 -4
39.4, 17.3, 2 2 -3
42.4, 13.2, 1 1 3
45.7, 19.5, -3 1 3